No. 1
Theoretical powder XRD pattern of KLaBr3 for Cu Ka, from a structure optimized by DFT (PBE).

Structure:
Cell: 9.5817 4.2112 17.1924 Å, 90.00 90.00 90.00°
Space group Pnma (No. 62)
Unique sites:
K: 0.1036 0.2500 0.1922
La: 0.1521 0.7500 0.4609
Br: 0.0276 0.7500 0.6271
Br: 0.1581 0.7500 0.0341
Br: 0.1895 0.2500 0.8082

Main lines, by angle (10° ≤ 2θ ≤ 90°):
2θ/deg  Rel. int.
10.3  46
10.6  38
23.7  22
27.9  26
28.7  35
30.1  100
32.1  48
33.6  37
42.6  28
43.0  26


No. 2
Theoretical powder XRD pattern of K2LaTa6Br15O3 for Cu Ka, from a structure optimized by DFT (PBE).

Structure:
Cell: 9.5906 9.5906 18.3420 Å, 90.00 90.00 120.00°
Space group P-31c (No. 163)
Unique sites:
K: 0.3333 0.6667 0.0271
La: 0.3333 0.6667 0.7500
Ta: 0.0163 0.1890 0.6866
Br: 0.0190 0.2228 0.4123
Br: 0.0701 0.4679 0.6158
Br: 0.2138 0.4275 0.2500
O: 0.1813 0.3626 0.7500

Main lines, by angle (10° ≤ 2θ ≤ 90°):
2θ/deg  Rel. int.
10.7  100
14.4  26
26.9  25
28.4  23
32.0  18
34.6  74
40.8  21
41.2  23
42.5  25
44.0  15


No. 3
Theoretical powder XRD pattern of KLiBr for Cu Ka, from a structure optimized by DFT (PBE).

Structure:
Cell: 4.4884 4.4884 13.7843 Å, 90.00 90.00 90.00°
Space group P4/nmm (No. 129, origin choice 2)
Unique sites:
K: 0.2500 0.2500 0.1281
Li: 0.2500 0.7500 0.5000
Br: 0.2500 0.2500 0.5899

Main lines, by angle (10° ≤ 2θ ≤ 90°):
2θ/deg  Rel. int.
12.8  12
23.7  100
25.9  12
27.8  14
28.1  33
32.8  11
38.6  19
40.2  14
47.2  28
48.4  8


No. 4
Theoretical powder XRD pattern of K2LiBr3 for Cu Ka, from a structure optimized by DFT (PBE).

Structure:
Cell: 9.3932 4.5103 18.1837 Å, 90.00 90.00 90.00°
Space group Pnma (No. 62)
Unique sites:
K: 0.0806 0.2500 0.2139
K: 0.2409 0.2500 0.9546
Li: 0.1270 0.2500 0.6325
Br: 0.9997 0.2500 0.3994
Br: 0.1304 0.7500 0.0728
Br: 0.1799 0.2500 0.7699

Main lines, by angle (10° ≤ 2θ ≤ 90°):
2θ/deg  Rel. int.
24.0  100
26.3  22
27.3  26
27.9  69
28.9  32
29.2  64
29.5  80
31.6  30
33.0  28
40.0  40


No. 5
Theoretical powder XRD pattern of KLiMgBr4 for Cu Ka, from a structure optimized by DFT (PBE).

Structure:
Cell: 6.6979 8.1593 8.8819 Å, 90.00 101.93 90.00°
Space group P2_1/m (No. 11)
Unique sites:
K: 0.2070 0.2500 0.0865
Li: 0.2873 0.2500 0.6767
Mg: 0.2154 0.7500 0.3176
Br: 0.0427 0.0211 0.7333
Br: 0.4014 0.7500 0.0972
Br: 0.4862 0.2500 0.4591

Main lines, by angle (10° ≤ 2θ ≤ 90°):
2θ/deg  Rel. int.
22.1  28
25.7  100
26.6  28
26.9  55
27.0  21
30.0  52
31.1  24
43.3  23
43.9  24
52.7  24


No. 6
Theoretical powder XRD pattern of KLi2NpBr6 for Cu Ka, from a structure optimized by DFT (PBE).

Structure:
Cell: 7.3412 7.3412 20.0493 Å, 90.00 90.00 120.00°
Space group R3 (No. 146, hexagonal axes)
Unique sites:
K: 0.0000 0.0000 0.0000
Li: 0.0000 0.0000 0.2859
Li: 0.0000 0.0000 0.7901
Np: 0.0000 0.0000 0.4814
Br: 0.0084 0.5895 0.0507
Br: 0.0215 0.3356 0.8804

Main lines, by angle (10° ≤ 2θ ≤ 90°):
2θ/deg  Rel. int.
13.2  23
14.6  69
16.5  51
22.6  38
27.7  100
29.5  45
36.4  64
38.6  28
42.7  34
47.8  26


No. 7
Theoretical powder XRD pattern of KLiPbBr4 for Cu Ka, from a structure optimized by DFT (PBE).

Structure:
Cell: 7.2114 7.5716 9.0004 Å, 90.00 107.78 90.00°
Space group P2_1/m (No. 11)
Unique sites:
K: 0.2463 0.2500 0.0585
Li: 0.2392 0.7500 0.3182
Pb: 0.2202 0.2500 0.5519
Br: 0.0025 0.5007 0.7287
Br: 0.4510 0.7500 0.1468
Br: 0.4578 0.7500 0.5908

Main lines, by angle (10° ≤ 2θ ≤ 90°):
2θ/deg  Rel. int.
10.3  94
17.4  56
18.2  33
26.9  47
27.7  29
27.9  34
30.2  56
30.3  50
31.6  100
40.1  34


No. 8
Theoretical powder XRD pattern of KLi2PmBr6 for Cu Ka, from a structure optimized by DFT (PBE).

Structure:
Cell: 7.3385 7.3385 20.0168 Å, 90.00 90.00 120.00°
Space group R3 (No. 146, hexagonal axes)
Unique sites:
K: 0.0000 0.0000 0.0000
Li: 0.0000 0.0000 0.2846
Li: 0.0000 0.0000 0.7916
Pm: 0.0000 0.0000 0.4824
Br: 0.0078 0.5901 0.0522
Br: 0.0195 0.3353 0.8806

Main lines, by angle (10° ≤ 2θ ≤ 90°):
2θ/deg  Rel. int.
14.6  33
16.5  26
22.6  23
26.7  17
27.7  100
29.5  34
33.4  15
36.4  50
42.7  29
47.8  24


No. 9
Theoretical powder XRD pattern of KSrLiBr4 for Cu Ka, from a structure optimized by DFT (PBE).

Structure:
Cell: 7.2757 7.4451 9.0850 Å, 90.00 108.01 90.00°
Space group P2_1/m (No. 11)
Unique sites:
K: 0.2424 0.2500 0.4393
Sr: 0.2789 0.2500 0.9458
Li: 0.2622 0.7500 0.1851
Br: 0.0511 0.7500 0.9117
Br: 0.0576 0.7500 0.3570
Br: 0.4965 0.5015 0.7751

Main lines, by angle (10° ≤ 2θ ≤ 90°):
2θ/deg  Rel. int.
10.2  39
23.9  23
27.2  93
27.6  89
30.1  90
31.7  100
39.7  27
41.0  21
46.1  27
48.8  21


No. 10
Theoretical powder XRD pattern of KLi2TiBr6 for Cu Ka, from a structure optimized by DFT (PBE).

Structure:
Cell: 7.0799 7.0810 7.6958 Å, 62.87 62.77 60.13°
Space group P1 (No. 1)
Unique sites:
K: 0.0000 0.0000 0.0000
Li: 0.2924 0.2927 0.1255
Li: 0.8041 0.8041 0.5913
Ti: 0.4809 0.4826 0.5579
Br: 0.0833 0.4638 0.8072
Br: 0.2438 0.8683 0.3455
Br: 0.4650 0.6491 0.8058
Br: 0.5442 0.2432 0.3438
Br: 0.6454 0.0846 0.8071
Br: 0.8723 0.5398 0.3461

Main lines, by angle (10° ≤ 2θ ≤ 90°):
2θ/deg  Rel. int.
15.1  14
17.0  11
27.3  26
28.7  100
28.7  18
29.5  12
37.4  17
37.4  17
44.3  24
49.1  15


No. 11
Theoretical powder XRD pattern of KLiU2Br8 for Cu Ka, from a structure optimized by DFT (PBE).

Structure:
Cell: 7.3292 7.3292 8.6612 Å, 90.00 90.00 120.00°
Space group P-3 (No. 147)
Unique sites:
K: 0.0000 0.0000 0.0000
Li: 0.0000 0.0000 0.5000
U: 0.3333 0.6667 0.4107
Br: 0.0699 0.3489 0.6612
Br: 0.3333 0.6667 0.0874

Main lines, by angle (10° ≤ 2θ ≤ 90°):
2θ/deg  Rel. int.
10.2  100
14.0  39
17.3  52
24.3  39
26.4  33
30.0  63
32.0  54
34.1  46
42.7  40
49.4  39


No. 12
Theoretical powder XRD pattern of KMg2NpBr8 for Cu Ka, from a structure optimized by DFT (PBE).

Structure:
Cell: 6.8756 6.9146 9.3433 Å, 80.11 81.17 80.79°
Space group P-1 (No. 2)
Unique sites:
K: 0.0000 0.0000 0.0000
Mg: 0.4628 0.4496 0.2102
Np: 0.0000 0.0000 0.5000
Br: 0.1785 0.7255 0.7349
Br: 0.2151 0.7680 0.2797
Br: 0.3076 0.2490 0.4565
Br: 0.3574 0.3000 0.0066

Main lines, by angle (10° ≤ 2θ ≤ 90°):
2θ/deg  Rel. int.
13.1  42
15.1  62
15.3  63
17.3  78
27.8  95
27.9  87
28.1  100
30.7  36
39.5  37
40.4  36